# Na2PrGeO5
Simulated powder diffractogram, Cu Ka. Input: a cell relaxed with GGA-PBE.

Main lines, by angle (2θ from 10° to 80°):
| Position (°2θ) | intensity | hkl |
| --- | --- | --- |
| 15.86 | 24 | 1 0 1 |
| 18.44 | 48 | 2 0 0 |
| 22.57 | 30 | 2 0 1 |
| 23.23 | 64 | 0 2 0 |
| 29.82 | 36 | 2 2 0 |
| 30.01 | 100 | 1 1 2 |
| 32.61 | 36 | 2 2 1 |
| 39.70 | 37 | 4 0 1 |
| 45.27 | 39 | 1 3 2 |
| 47.46 | 29 | 0 4 0 |

Cell lengths 9.6237, 7.6580, 6.8633 Å; angles 90.00, 90.00, 90.00 degrees
Space group Pnma (No. 62)
Asymmetric unit:
Na (0.1758, 0.0339, 0.1349)
Pr (0.0425, 0.2500, 0.6226)
Ge (0.0914, 0.7500, 0.8220)
O (0.0231, 0.2500, 0.9779)
O (0.0605, 0.5677, 0.6673)
O (0.2132, 0.7500, 0.2785)
O (0.2321, 0.2500, 0.3923)